(1)
# Pr2GePt
Simulated X-ray diffraction stick pattern, Cu Ka. Input: a DFT-relaxed cell (GGA-PBE, Alexandria).
Neutral-atom scattering factors, no anomalous dispersion.

Most intense lines, 2θ from 10° to 80°, most intense first:
| 2θ (°) | intensity |
| --- | --- |
| 30.57 | 100 |
| 38.06 | 41 |
| 38.25 | 38 |
| 40.79 | 30 |
| 37.83 | 28 |
| 31.73 | 27 |
| 43.57 | 24 |
| 61.21 | 17 |
| 52.91 | 15 |
| 32.00 | 14 |
| 32.22 | 13 |
| 52.58 | 13 |

Atomic structure:
Unit cell a=6.024 b=4.424 c=8.308 alpha=90.00 beta=110.55 gamma=90.00
Fractional coordinates of all 8 atoms:
Pr (0.221, 0.250, 0.440)
Pr (0.225, 0.250, 0.916)
Pr (0.775, 0.750, 0.084)
Pr (0.779, 0.750, 0.560)
Ge (0.331, 0.750, 0.206)
Ge (0.669, 0.250, 0.794)
Pt (0.349, 0.750, 0.710)
Pt (0.651, 0.250, 0.290)

***

(2)
# MgAlZn
Simulated X-ray diffraction stick pattern, Cu Ka. Input: a DFT-relaxed cell (GGA-PBE, Alexandria).
Neutral-atom scattering factors, no anomalous dispersion.

Most intense lines, 2θ from 10° to 80°, most intense first:
| 2θ (°) | intensity |
| --- | --- |
| 37.87 | 100 |
| 39.35 | 97 |
| 22.42 | 54 |
| 50.34 | 32 |
| 55.76 | 31 |
| 70.37 | 29 |
| 76.51 | 25 |
| 30.12 | 23 |
| 71.35 | 15 |
| 45.76 | 8 |
| 79.36 | 8 |
| 62.62 | 8 |

Atomic structure:
Unit cell a=4.579 b=4.579 c=2.967 alpha=90.00 beta=90.00 gamma=120.00
Fractional coordinates of all 3 atoms:
Mg (0.000, 0.000, 0.000)
Al (0.667, 0.333, 0.500)
Zn (0.333, 0.667, 0.500)

***

(3)
# CuB5Pt8
Simulated X-ray diffraction stick pattern, Cu Ka. Input: a DFT-relaxed cell (GGA-PBE, Alexandria).
Neutral-atom scattering factors, no anomalous dispersion.

Most intense lines, 2θ from 10° to 80°, most intense first:
| 2θ (°) | intensity |
| --- | --- |
| 36.40 | 100 |
| 38.92 | 63 |
| 34.89 | 61 |
| 46.76 | 56 |
| 32.35 | 54 |
| 43.32 | 53 |
| 33.82 | 26 |
| 60.63 | 23 |
| 52.22 | 22 |
| 75.16 | 22 |
| 41.12 | 19 |
| 36.69 | 18 |

Atomic structure:
Unit cell a=8.164 b=8.164 c=7.430 alpha=94.28 beta=94.28 gamma=21.57
Fractional coordinates of all 14 atoms:
Cu (0.000, 0.000, 0.000)
B (0.062, 0.062, 0.749)
B (0.124, 0.124, 0.399)
B (0.391, 0.391, 0.437)
B (0.656, 0.656, 0.168)
B (0.757, 0.757, 0.825)
Pt (0.166, 0.166, 0.948)
Pt (0.239, 0.239, 0.288)
Pt (0.341, 0.341, 0.916)
Pt (0.474, 0.474, 0.691)
Pt (0.541, 0.541, 0.299)
Pt (0.645, 0.645, 0.622)
Pt (0.823, 0.823, 0.579)
Pt (0.889, 0.889, 0.238)

***

(4)
# Sr5Hg2P
Simulated X-ray diffraction stick pattern, Cu Ka. Input: a DFT-relaxed cell (GGA-PBE, Alexandria).
Neutral-atom scattering factors, no anomalous dispersion.

Most intense lines, 2θ from 10° to 80°, most intense first:
| 2θ (°) | intensity |
| --- | --- |
| 30.14 | 100 |
| 16.60 | 79 |
| 20.27 | 77 |
| 33.32 | 59 |
| 26.70 | 58 |
| 33.59 | 57 |
| 27.65 | 51 |
| 26.53 | 43 |
| 31.30 | 42 |
| 28.84 | 42 |
| 29.74 | 40 |
| 34.45 | 37 |

Atomic structure:
Unit cell a=10.115 b=10.115 c=8.615 alpha=96.50 beta=96.50 gamma=44.65
Fractional coordinates of all 16 atoms:
Sr (0.084, 0.916, 0.750)
Sr (0.148, 0.291, 0.301)
Sr (0.282, 0.524, 0.074)
Sr (0.291, 0.148, 0.801)
Sr (0.476, 0.718, 0.426)
Sr (0.524, 0.282, 0.574)
Sr (0.709, 0.852, 0.199)
Sr (0.718, 0.476, 0.926)
Sr (0.852, 0.709, 0.699)
Sr (0.916, 0.084, 0.250)
Hg (0.112, 0.688, 0.431)
Hg (0.312, 0.888, 0.069)
Hg (0.688, 0.112, 0.931)
Hg (0.888, 0.312, 0.569)
P (0.000, 0.500, 0.000)
P (0.500, 0.000, 0.500)

***

(5)
# Hf10MnSb5
Simulated X-ray diffraction stick pattern, Cu Ka. Input: a DFT-relaxed cell (GGA-PBE, Alexandria).
Neutral-atom scattering factors, no anomalous dispersion.

Most intense lines, 2θ from 10° to 80°, most intense first:
| 2θ (°) | intensity |
| --- | --- |
| 37.30 | 100 |
| 33.43 | 52 |
| 36.42 | 44 |
| 39.84 | 36 |
| 36.20 | 34 |
| 60.83 | 24 |
| 32.22 | 22 |
| 59.23 | 16 |
| 70.24 | 14 |
| 34.49 | 12 |
| 58.54 | 12 |
| 59.08 | 11 |

Atomic structure:
Unit cell a=8.280 b=8.280 c=8.280 alpha=96.46 beta=96.46 gamma=140.79
Fractional coordinates of all 16 atoms:
Hf (0.000, 0.500, 0.500)
Hf (0.046, 0.186, 0.709)
Hf (0.186, 0.476, 0.140)
Hf (0.337, 0.046, 0.860)
Hf (0.476, 0.337, 0.291)
Hf (0.500, 0.000, 0.500)
Hf (0.524, 0.814, 0.860)
Hf (0.663, 0.524, 0.709)
Hf (0.814, 0.954, 0.291)
Hf (0.954, 0.663, 0.140)
Mn (0.500, 0.500, 0.000)
Sb (0.000, 0.000, 0.000)
Sb (0.086, 0.914, 0.500)
Sb (0.414, 0.586, 0.500)
Sb (0.586, 0.086, 0.172)
Sb (0.914, 0.414, 0.828)

***

(6)
# Al2TlCl
Simulated X-ray diffraction stick pattern, Cu Ka. Input: a DFT-relaxed cell (GGA-PBE, Alexandria).
Neutral-atom scattering factors, no anomalous dispersion.

Most intense lines, 2θ from 10° to 80°, most intense first:
| 2θ (°) | intensity |
| --- | --- |
| 15.15 | 100 |
| 32.57 | 86 |
| 36.11 | 82 |
| 23.48 | 63 |
| 45.28 | 62 |
| 17.83 | 56 |
| 30.57 | 46 |
| 31.13 | 32 |
| 48.02 | 26 |
| 35.61 | 26 |
| 27.04 | 21 |
| 48.40 | 20 |

Atomic structure:
Unit cell a=3.298 b=4.975 c=5.848 alpha=90.00 beta=90.00 gamma=90.00
Fractional coordinates of all 4 atoms:
Al (0.000, 0.000, 0.000)
Al (0.500, 0.500, 0.031)
Tl (0.000, 0.000, 0.506)
Cl (0.500, 0.500, 0.436)

***

(7)
# K6ZnF12
Simulated X-ray diffraction stick pattern, Cu Ka. Input: a DFT-relaxed cell (GGA-PBE, Alexandria).
Neutral-atom scattering factors, no anomalous dispersion.

Most intense lines, 2θ from 10° to 80°, most intense first:
| 2θ (°) | intensity |
| --- | --- |
| 26.10 | 100 |
| 42.73 | 55 |
| 25.59 | 44 |
| 12.55 | 41 |
| 41.77 | 31 |
| 43.38 | 29 |
| 51.04 | 24 |
| 32.44 | 18 |
| 38.07 | 17 |
| 30.08 | 16 |
| 19.37 | 15 |
| 50.48 | 12 |

Atomic structure:
Unit cell a=7.261 b=7.261 c=7.261 alpha=98.94 beta=98.94 gamma=98.94
Fractional coordinates of all 19 atoms:
K (0.158, 0.614, 0.244)
K (0.244, 0.158, 0.614)
K (0.386, 0.756, 0.842)
K (0.614, 0.244, 0.158)
K (0.756, 0.842, 0.386)
K (0.842, 0.386, 0.756)
Zn (0.000, 0.000, 0.000)
F (0.027, 0.728, 0.931)
F (0.069, 0.973, 0.272)
F (0.128, 0.486, 0.565)
F (0.272, 0.069, 0.973)
F (0.435, 0.872, 0.514)
F (0.486, 0.565, 0.128)
F (0.514, 0.435, 0.872)
F (0.565, 0.128, 0.486)
F (0.728, 0.931, 0.027)
F (0.872, 0.514, 0.435)
F (0.931, 0.027, 0.728)
F (0.973, 0.272, 0.069)